# 1
This entry pairs a crystal structure of Ti6MnFe with its calculated XRD peak list. Radiation: Cu Kα, 1.54184 Å. Structure: a DFT-relaxed cell (GGA-PBE, Alexandria).
No peak broadening, texture or thermal motion is included.

The 10 most intense peaks (10° ≤ 2θ ≤ 90°), by angle:
13.1 deg, rel. 11; 40.3 deg, rel. 100; 42.7 deg, rel. 46; 50.8 deg, rel. 6; 54.5 deg, rel. 7; 62.0 deg, rel. 14; 71.6 deg, rel. 12; 76.6 deg, rel. 26; 84.2 deg, rel. 3; 87.1 deg, rel. 7

Structure:
```
data_Ti6MnFe
_chemical_formula_sum 'Ti12 Mn2 Fe2'
_symmetry_space_group_name_H-M 'I 4/m m m'
_symmetry_Int_Tables_number 139
_symmetry_space_group_name_Hall '-I 4 2'
_cell_length_a 4.2339
_cell_length_b 4.2339
_cell_length_c 13.4664
_cell_angle_alpha 90.00
_cell_angle_beta 90.00
_cell_angle_gamma 90.00
loop_
_atom_site_label
_atom_site_type_symbol
_atom_site_fract_x
_atom_site_fract_y
_atom_site_fract_z
Ti1 Ti 0.0000 0.0000 0.2485
Ti2 Ti 0.0000 0.5000 0.1073
Mn1 Mn 0.0000 0.0000 0.0000
Fe1 Fe 0.0000 0.0000 0.5000
```

***

# 2
This entry pairs a crystal structure of Sm4ErN5 with its calculated XRD peak list. Radiation: Cu Kα, 1.54184 Å. Structure: a DFT-relaxed cell (GGA-PBE, Alexandria).
No peak broadening, texture or thermal motion is included.

The 10 most intense peaks (10° ≤ 2θ ≤ 90°), by angle:
30.8 deg, rel. 100; 35.6 deg, rel. 24; 35.7 deg, rel. 48; 51.3 deg, rel. 34; 51.4 deg, rel. 17; 60.9 deg, rel. 15; 61.2 deg, rel. 30; 64.1 deg, rel. 17; 83.7 deg, rel. 13; 86.2 deg, rel. 7

Structure:
```
data_Sm4ErN5
_chemical_formula_sum 'Sm8 Er2 N10'
_symmetry_space_group_name_H-M 'I 4'
_symmetry_Int_Tables_number 79
_cell_length_a 7.9433
_cell_length_b 7.9433
_cell_length_c 5.0494
_cell_angle_alpha 90.00
_cell_angle_beta 90.00
_cell_angle_gamma 90.00
loop_
_symmetry_equiv_pos_as_xyz
'x,y,z'
'-y,x,z'
'-x,-y,z'
'y,-x,z'
'x+1/2,y+1/2,z+1/2'
'-y+1/2,x+1/2,z+1/2'
'-x+1/2,-y+1/2,z+1/2'
'y+1/2,-x+1/2,z+1/2'
loop_
_atom_site_label
_atom_site_type_symbol
_atom_site_fract_x
_atom_site_fract_y
_atom_site_fract_z
Sm1 Sm 0.1006 0.2988 0.0000
Er1 Er 0.0000 0.0000 0.4964
N1 N 0.0000 0.0000 0.0198
N2 N 0.0980 0.2939 0.5107
```

***

# 3
This entry pairs a crystal structure of La2Dy2Au3 with its calculated XRD peak list. Radiation: Cu Kα, 1.54184 Å. Structure: a DFT-relaxed cell (GGA-PBE, Alexandria).
No peak broadening, texture or thermal motion is included.

The 10 most intense peaks (10° ≤ 2θ ≤ 90°), by angle:
31.0 deg, rel. 100; 36.8 deg, rel. 66; 44.4 deg, rel. 17; 46.7 deg, rel. 12; 48.9 deg, rel. 12; 51.0 deg, rel. 21; 62.7 deg, rel. 28; 64.5 deg, rel. 12; 66.3 deg, rel. 14; 76.7 deg, rel. 18

Structure:
```
data_La2Dy2Au3
_chemical_formula_sum 'La8 Dy8 Au12'
_symmetry_space_group_name_H-M 'I 21 3'
_symmetry_Int_Tables_number 199
_symmetry_space_group_name_Hall 'I 2b 2c 3'
_cell_length_a 9.1313
_cell_length_b 9.1313
_cell_length_c 9.1313
_cell_angle_alpha 90.00
_cell_angle_beta 90.00
_cell_angle_gamma 90.00
loop_
_atom_site_label
_atom_site_type_symbol
_atom_site_fract_x
_atom_site_fract_y
_atom_site_fract_z
La1 La 0.1761 0.1761 0.1761
Dy1 Dy 0.0681 0.4319 0.5681
Au1 Au 0.0000 0.2500 0.8559
```

***

# 4
This entry pairs a crystal structure of Ag5RhCl8 with its calculated XRD peak list. Radiation: Cu Kα, 1.54184 Å. Structure: a DFT-relaxed cell (GGA-PBE, Alexandria).
No peak broadening, texture or thermal motion is included.

The 10 most intense peaks (10° ≤ 2θ ≤ 90°), by angle:
14.7 deg, rel. 86; 18.1 deg, rel. 40; 23.4 deg, rel. 80; 25.7 deg, rel. 49; 26.6 deg, rel. 79; 29.7 deg, rel. 51; 35.0 deg, rel. 50; 36.7 deg, rel. 49; 37.4 deg, rel. 100; 39.7 deg, rel. 42

Structure:
```
data_Ag5RhCl8
_chemical_formula_sum 'Ag10 Rh2 Cl16'
_symmetry_space_group_name_H-M 'I -4'
_symmetry_Int_Tables_number 82
_cell_length_a 9.8007
_cell_length_b 9.8007
_cell_length_c 7.6436
_cell_angle_alpha 90.00
_cell_angle_beta 90.00
_cell_angle_gamma 90.00
loop_
_symmetry_equiv_pos_as_xyz
'x,y,z'
'y,-x,-z'
'-x,-y,z'
'-y,x,-z'
'x+1/2,y+1/2,z+1/2'
'y+1/2,-x+1/2,-z+1/2'
'-x+1/2,-y+1/2,z+1/2'
'-y+1/2,x+1/2,-z+1/2'
loop_
_atom_site_label
_atom_site_type_symbol
_atom_site_fract_x
_atom_site_fract_y
_atom_site_fract_z
Ag1 Ag 0.0000 0.0000 0.0000
Ag2 Ag 0.2037 0.2658 0.0911
Rh1 Rh 0.0000 0.5000 0.7500
Cl1 Cl 0.0589 0.7208 0.6804
Cl2 Cl 0.0707 0.7664 0.1529
```

***

# 5
This entry pairs a crystal structure of CuAg4Sn3Se8 with its calculated XRD peak list. Radiation: Cu Kα, 1.54184 Å. Structure: a DFT-relaxed cell (GGA-PBE, Alexandria).
No peak broadening, texture or thermal motion is included.

The 10 most intense peaks (10° ≤ 2θ ≤ 90°), by angle:
31.0 deg, rel. 54; 31.7 deg, rel. 100; 44.9 deg, rel. 36; 45.0 deg, rel. 36; 45.1 deg, rel. 18; 45.8 deg, rel. 16; 55.8 deg, rel. 9; 56.3 deg, rel. 16; 66.3 deg, rel. 10; 74.8 deg, rel. 13

Structure:
```
data_CuAg4Sn3Se8
_chemical_formula_sum 'Cu2 Ag8 Sn6 Se16'
_symmetry_space_group_name_H-M 'C 1 2/m 1'
_symmetry_Int_Tables_number 12
_cell_length_a 14.0406
_cell_length_b 7.9232
_cell_length_c 8.0374
_cell_angle_alpha 90.00
_cell_angle_beta 124.73
_cell_angle_gamma 90.00
loop_
_symmetry_equiv_pos_as_xyz
'x,y,z'
'-x,-y,-z'
'-x,y,-z'
'x,-y,z'
'x+1/2,y+1/2,z'
'-x+1/2,-y+1/2,-z'
'-x+1/2,y+1/2,-z'
'x+1/2,-y+1/2,z'
loop_
_atom_site_label
_atom_site_type_symbol
_atom_site_fract_x
_atom_site_fract_y
_atom_site_fract_z
Cu1 Cu 0.0000 0.0000 0.0000
Ag1 Ag 0.0000 0.0000 0.5000
Ag2 Ag 0.0000 0.5000 0.5000
Ag3 Ag 0.2500 0.2500 0.5000
Sn1 Sn 0.0000 0.5000 0.0000
Sn2 Sn 0.2500 0.2500 0.0000
Se1 Se 0.0009 0.2160 0.2228
Se2 Se 0.2214 0.5000 0.7183
Se3 Se 0.2494 0.0000 0.7434
```

***

# 6
This entry pairs a crystal structure of ZrPaTe6 with its calculated XRD peak list. Radiation: Cu Kα, 1.54184 Å. Structure: a DFT-relaxed cell (GGA-PBE, Alexandria).
No peak broadening, texture or thermal motion is included.

The 10 most intense peaks (10° ≤ 2θ ≤ 90°), by angle:
16.2 deg, rel. 40; 20.3 deg, rel. 53; 28.0 deg, rel. 100; 31.8 deg, rel. 65; 33.3 deg, rel. 61; 34.1 deg, rel. 52; 34.3 deg, rel. 88; 36.1 deg, rel. 47; 41.6 deg, rel. 47; 41.8 deg, rel. 53

Structure:
```
data_ZrPaTe6
_chemical_formula_sum 'Zr1 Pa1 Te6'
_symmetry_space_group_name_H-M 'P -1'
_symmetry_Int_Tables_number 2
_cell_length_a 5.5252
_cell_length_b 6.6604
_cell_length_c 7.6748
_cell_angle_alpha 76.77
_cell_angle_beta 86.39
_cell_angle_gamma 77.01
loop_
_symmetry_equiv_pos_as_xyz
'x,y,z'
'-x,-y,-z'
loop_
_atom_site_label
_atom_site_type_symbol
_atom_site_fract_x
_atom_site_fract_y
_atom_site_fract_z
Zr1 Zr 0.0000 0.0000 0.0000
Pa1 Pa 0.5000 0.5000 0.5000
Te1 Te 0.0141 0.3854 0.7268
Te2 Te 0.3337 0.7198 0.8032
Te3 Te 0.3472 0.9629 0.2738
```